# Mg2B6Mo
Simulated powder XRD pattern, Cu Kα (λ = 1.5418 Å). Input: a DFT-relaxed cell (GGA-PBE, Alexandria).
No peak broadening, texture or thermal motion is included.

Cell: 5.312 5.312 3.339 Å, 90.00 90.00 120.00°
Sites, in units of the cell vectors:
Mg 0.333 0.667 0.000
Mg 0.667 0.333 0.000
B 0.000 0.330 0.500
B 0.000 0.670 0.500
B 0.330 0.000 0.500
B 0.330 0.330 0.500
B 0.670 0.000 0.500
B 0.670 0.670 0.500
Mo 0.000 0.000 0.000

Main lines, most intense first (2θ = 15–90°):
43.54 deg, I 100.0; 19.29 deg, I 76.6; 33.75 deg, I 55.2; 33.15 deg, I 38.0; 60.36 deg, I 22.3; 26.70 deg, I 20.1; 77.32 deg, I 17.1; 86.09 deg, I 16.6; 66.10 deg, I 15.7; 48.03 deg, I 13.5

***

# MgB4Mo
Simulated powder XRD pattern, Cu Kα (λ = 1.5418 Å). Input: a DFT-relaxed cell (GGA-PBE, Alexandria).
No peak broadening, texture or thermal motion is included.

Cell: 4.525 4.525 4.525 Å, 140.88 108.53 84.62°
Sites, in units of the cell vectors:
Mg 0.000 0.000 0.000
B 0.085 0.747 0.338
B 0.409 0.747 0.662
B 0.591 0.253 0.338
B 0.915 0.253 0.662
Mo 0.500 0.500 0.000

Main lines, most intense first (2θ = 15–90°):
43.80 deg, I 100.0; 21.42 deg, I 90.0; 34.12 deg, I 60.4; 43.65 deg, I 48.9; 26.64 deg, I 39.4; 32.44 deg, I 32.2; 33.92 deg, I 32.1; 60.83 deg, I 21.3; 47.65 deg, I 20.8; 78.13 deg, I 19.3

***

# MgB6N6
Simulated powder XRD pattern, Cu Kα (λ = 1.5418 Å). Input: a DFT-relaxed cell (GGA-PBE, Alexandria).
No peak broadening, texture or thermal motion is included.

Cell: 4.576 4.576 4.576 Å, 90.00 90.00 90.00°
Sites, in units of the cell vectors:
Mg 0.000 0.000 0.000
B 0.000 0.247 0.500
B 0.000 0.753 0.500
B 0.247 0.500 0.000
B 0.500 0.000 0.247
B 0.500 0.000 0.753
B 0.753 0.500 0.000
N 0.000 0.500 0.252
N 0.000 0.500 0.748
N 0.252 0.000 0.500
N 0.500 0.252 0.000
N 0.500 0.748 0.000
N 0.748 0.000 0.500

Main lines, most intense first (2θ = 15–90°):
48.75 deg, I 100.0; 39.38 deg, I 52.9; 19.40 deg, I 51.5; 78.16 deg, I 39.3; 44.26 deg, I 35.6; 27.57 deg, I 27.8; 84.74 deg, I 17.9; 33.93 deg, I 16.2; 71.41 deg, I 13.8; 60.72 deg, I 10.3